This entry pairs a crystal structure of NaLaCr4O12 with its simulated powder X-ray diffraction pattern. Radiation: a wavelength of 1.5418 Å. Structure: a structure optimized by DFT (GGA+U).
Neutral-atom scattering factors, no anomalous dispersion.

Principal peaks in the range 15° ≤ 2θ ≤ 90°, most intense first:
2θ (°)	I_rel
20.27	1000
31.76	648
32.32	591
35.95	476
15.73	449
41.18	391
19.46	332
30.15	277
50.98	274
23.30	272

abc: 6.9715 5.7997 5.7997
angles: 76.27 90.00 90.00
Positions (direct):
Na (0.0000, 0.0000, 0.0000)
La (0.5000, 0.4112, 0.4112)
Cr (0.2452, 0.4754, 0.9497)
Cr (0.2452, 0.9497, 0.4754)
Cr (0.7548, 0.4754, 0.9497)
Cr (0.7548, 0.9497, 0.4754)
O (0.0000, 0.4244, 0.8598)
O (0.0000, 0.8598, 0.4244)
O (0.2089, 0.2294, 0.2294)
O (0.2642, 0.0855, 0.6922)
O (0.2642, 0.6922, 0.0855)
O (0.2971, 0.6326, 0.6326)
O (0.5000, 0.3666, 0.9750)
O (0.5000, 0.9750, 0.3666)
O (0.7029, 0.6326, 0.6326)
O (0.7358, 0.0855, 0.6922)
O (0.7358, 0.6922, 0.0855)
O (0.7911, 0.2294, 0.2294)